# 1
Simulated X-ray diffraction stick pattern
Compound: Ba2AlGa3
Radiation: Cu Kα X-rays
Structure: a structure optimized by DFT (GGA-PBE)
No peak broadening, texture or thermal motion is included.

The 6 most intense peaks (5 to 70 degrees two-theta), low angle first:
2θ/deg	I_rel
30.41	66
30.53	100
30.98	70
31.10	52
36.34	64
38.91	53

Structure:
Lattice parameters (Å, degrees): 6.185 6.185 7.858 129.09 129.09 47.13
Fractional coordinates of all 6 atoms:
Ba  0.000  0.000  0.000
Ba  0.501  0.501  0.619
Al  0.827  0.827  0.226
Ga  0.173  0.173  0.573
Ga  0.326  0.326  0.046
Ga  0.674  0.674  0.392


# 2
Simulated X-ray diffraction stick pattern
Compound: BaAlGaO4
Radiation: Cu Kα X-rays
Structure: a structure optimized by DFT (GGA-PBE)
No peak broadening, texture or thermal motion is included.

The 6 most intense peaks (5 to 70 degrees two-theta), low angle first:
2θ/deg	I_rel
21.57	32
27.21	30
27.45	100
27.69	98
33.50	82
33.79	39

Structure:
Lattice parameters (Å, degrees): 5.351 5.351 9.091 90.87 90.87 59.43
Fractional coordinates of all 14 atoms:
Ba  0.000  0.000  0.246
Ba  0.000  0.000  0.754
Al  0.326  0.343  0.053
Al  0.657  0.674  0.947
Ga  0.331  0.338  0.448
Ga  0.662  0.669  0.552
O  0.000  0.365  0.989
O  0.002  0.666  0.516
O  0.304  0.380  0.246
O  0.334  0.998  0.484
O  0.358  0.642  0.000
O  0.620  0.696  0.754
O  0.635  0.000  0.011
O  0.673  0.327  0.500